[1]
Simulated XRD peak list
Compound: Cd2GaPb
Radiation: copper Kα
Structure: the PBE geometry in Alexandria
Lines closer than 0.1° are merged.

Structural model:
```
Cd2GaPb
1.0
2.3735 1.3703 5.3541
-2.3735 1.3703 5.3541
0.0000 -2.7407 5.3541
Cd Ga Pb
2 1 1
Cartesian
0.0000 0.0000 0.0000 Cd
0.0000 0.0000 3.4069 Cd
0.0000 0.0000 10.0906 Ga
0.0000 0.0000 6.9936 Pb
```

Principal peaks in the range 2θ = 10–80°, by angle:
Position (°2θ)  Rel. int.
22.32  42
24.32  28
31.13  67
35.46  97
37.91  100
49.84  18
52.88  31
65.43  26
66.89  30
68.47  17

---

[2]
Simulated XRD peak list
Compound: NiPt
Radiation: copper Kα
Structure: the PBE geometry in Alexandria
Lines closer than 0.1° are merged.

Structural model:
```
NiPt
1.0
-1.8735 1.8735 3.8423
1.8735 -1.8735 3.8423
1.8735 1.8735 -3.8423
Ni Pt
2 2
Cartesian
1.8735 0.9367 0.9606 Ni
0.0000 0.9367 2.8817 Ni
1.8735 -0.9367 2.8817 Pt
0.0000 2.8102 0.9606 Pt
```

Principal peaks in the range 2θ = 10–80°, by angle:
Position (°2θ)  Rel. int.
26.46  39
41.40  100
42.76  11
47.32  17
48.60  31
56.18  11
65.66  3
66.70  6
70.17  21
71.17  10

---

[3]
Simulated XRD peak list
Compound: VZnH
Radiation: copper Kα
Structure: the PBE geometry in Alexandria
Lines closer than 0.1° are merged.

Structural model:
```
VZnH
1.0
2.6278 0.0000 0.0000
0.0000 2.6278 0.0000
0.0000 0.0000 4.3394
V Zn H
1 1 1
Cartesian
0.0000 0.0000 0.0000 V
1.3139 1.3139 2.0960 Zn
1.3139 1.3139 4.0678 H
```

Principal peaks in the range 2θ = 10–80°, by angle:
Position (°2θ)  Rel. int.
20.47  3
34.12  3
40.12  100
41.63  23
49.03  28
53.66  2
54.87  2
66.22  21
71.85  8
74.94  14

---

[4]
Simulated XRD peak list
Compound: NaW3Br
Radiation: copper Kα
Structure: the PBE geometry in Alexandria
Lines closer than 0.1° are merged.

Structural model:
```
NaW3Br
1.0
4.6717 0.0000 0.0000
0.0000 4.6717 0.0000
0.0000 0.0000 4.6717
Na W Br
1 3 1
Cartesian
0.0000 0.0000 0.0000 Na
0.0000 2.3358 2.3358 W
2.3358 0.0000 2.3358 W
2.3358 2.3358 0.0000 W
2.3358 2.3358 2.3358 Br
```

Principal peaks in the range 2θ = 10–80°, by angle:
Position (°2θ)  Rel. int.
19.00  73
26.99  6
33.22  100
38.54  90
43.31  35
55.65  62
59.35  17
66.37  42
69.73  21
73.02  8

---

[5]
Simulated XRD peak list
Compound: CsKNa2I4
Radiation: copper Kα
Structure: the PBE geometry in Alexandria
Lines closer than 0.1° are merged.

Structural model:
```
CsKNa2I4
1.0
8.5475 0.0000 0.0000
0.0000 4.9146 0.0000
-2.8564 0.0000 8.2465
Cs K Na I
1 1 2 4
Cartesian
0.0000 0.0000 0.0000 Cs
4.2737 2.4573 0.0000 K
-1.4282 2.4573 4.1233 Na
2.8455 0.0000 4.1233 Na
0.0810 0.0000 5.9255 I
1.5210 2.4573 2.3948 I
4.1701 2.4573 5.8517 I
5.6101 0.0000 2.3210 I
```

Principal peaks in the range 2θ = 10–80°, by angle:
Position (°2θ)  Rel. int.
22.05  22
25.37  100
27.61  15
35.87  33
36.45  26
36.57  13
45.00  14
49.68  8
52.67  8
65.76  8

---

[6]
Simulated XRD peak list
Compound: TbCo9Si4
Radiation: copper Kα
Structure: the PBE geometry in Alexandria
Lines closer than 0.1° are merged.

Structural model:
```
TbCo9Si4
1.0
-3.8511 3.8511 5.7141
3.8511 -3.8511 5.7141
3.8511 3.8511 -5.7141
Tb Co Si
2 18 8
Cartesian
0.0000 0.0000 2.8570 Tb
0.0000 0.0000 8.5711 Tb
3.8511 0.0000 0.0000 Co
2.8405 -1.0105 2.0629 Co
6.1735 0.5427 0.0000 Co
4.8616 -1.0105 3.6511 Co
0.5427 1.5286 0.0000 Co
4.3938 2.3224 0.0000 Co
4.8616 1.0105 2.0629 Co
2.3224 3.3083 0.0000 Co
2.8405 1.0105 3.6511 Co
0.0000 3.8511 0.0000 Co
1.0105 2.8405 2.0629 Co
1.5286 0.5427 5.7141 Co
-1.0105 2.8405 3.6511 Co
-0.5427 1.5286 5.7141 Co
3.3083 2.3224 5.7141 Co
-1.0105 4.8616 2.0629 Co
-2.3224 3.3083 5.7141 Co
1.0105 4.8616 3.6511 Co
2.5548 1.2963 -1.3950 Si
2.5548 -1.2963 4.3191 Si
2.5548 1.2963 1.3950 Si
2.5548 -1.2963 7.1091 Si
1.2963 5.1473 -1.3950 Si
1.2963 2.5548 4.3191 Si
1.2963 5.1473 1.3950 Si
1.2963 2.5548 7.1091 Si
```

Principal peaks in the range 2θ = 10–80°, by angle:
Position (°2θ)  Rel. int.
31.31  16
35.48  22
36.55  21
36.90  17
39.26  25
40.25  100
47.76  36
48.88  28
49.44  17
53.18  14

---

[7]
Simulated XRD peak list
Compound: RbLiPt4
Radiation: copper Kα
Structure: the PBE geometry in Alexandria
Lines closer than 0.1° are merged.

Structural model:
```
RbLiPt4
1.0
0.0000 3.8636 3.8636
3.8636 0.0000 3.8636
3.8636 3.8636 0.0000
Rb Li Pt
1 1 4
Cartesian
0.0000 0.0000 0.0000 Rb
5.7954 5.7954 5.7954 Li
2.9011 2.9011 2.9011 Pt
4.8261 4.8261 2.9011 Pt
4.8261 2.9011 4.8261 Pt
2.9011 4.8261 4.8261 Pt
```

Principal peaks in the range 2θ = 10–80°, by angle:
Position (°2θ)  Rel. int.
19.90  90
23.02  3
32.78  3
38.65  100
40.44  86
47.04  32
51.55  23
62.45  33
68.72  34
72.35  17

---

[8]
Simulated XRD peak list
Compound: Ho2CuPPt6
Radiation: copper Kα
Structure: the PBE geometry in Alexandria
Lines closer than 0.1° are merged.

Structural model:
```
Ho2CuPPt6
1.0
5.5221 0.0000 0.0000
0.0000 8.5993 0.0000
0.0000 0.0000 8.0081
Ho Cu P Pt
4 2 2 12
Cartesian
1.3805 0.2174 1.8246 Ho
1.3805 4.0823 1.8246 Ho
4.1416 4.5171 6.1835 Ho
4.1416 8.3820 6.1835 Ho
1.3805 6.4495 6.2912 Cu
4.1416 2.1498 1.7170 Cu
1.3805 2.1498 5.8741 P
4.1416 6.4495 2.1340 P
0.0128 6.4495 4.1288 Pt
0.0447 6.4495 0.3556 Pt
1.3805 0.0185 4.9380 Pt
1.3805 4.2812 4.9380 Pt
2.7163 6.4495 0.3556 Pt
2.7482 6.4495 4.1288 Pt
2.7739 2.1498 3.8793 Pt
2.8058 2.1498 7.6525 Pt
4.1416 4.3182 3.0702 Pt
4.1416 8.5808 3.0702 Pt
5.4774 2.1498 7.6525 Pt
5.5093 2.1498 3.8793 Pt
```

Principal peaks in the range 2θ = 10–80°, by angle:
Position (°2θ)  Rel. int.
11.05  31
27.52  28
30.51  77
34.66  34
38.76  100
39.66  61
42.03  51
43.12  38
45.12  20
59.15  32

---

What did the seventh record say?
Simulated XRD peak list
Compound: RbLiPt4
Radiation: copper Kα
Structure: the PBE geometry in Alexandria
Lines closer than 0.1° are merged.

Structural model:
```
RbLiPt4
1.0
0.0000 3.8636 3.8636
3.8636 0.0000 3.8636
3.8636 3.8636 0.0000
Rb Li Pt
1 1 4
Cartesian
0.0000 0.0000 0.0000 Rb
5.7954 5.7954 5.7954 Li
2.9011 2.9011 2.9011 Pt
4.8261 4.8261 2.9011 Pt
4.8261 2.9011 4.8261 Pt
2.9011 4.8261 4.8261 Pt
```

Principal peaks in the range 2θ = 10–80°, by angle:
Position (°2θ)  Rel. int.
19.90  90
23.02  3
32.78  3
38.65  100
40.44  86
47.04  32
51.55  23
62.45  33
68.72  34
72.35  17